No. 1
For InSb, a crystal structure in the Materials Project, relaxed with GGA-PBE gives the theoretical X-ray diffraction stick pattern in this record (copper Kα).
Peak positions follow from Bragg's law for the DFT cell and can differ from measured ones.

Main lines, sorted by position (2θ from 10° to 90°):
d = 3.081 Å, 28.98°, rel. 446, hkl 0 2 0; d = 3.063 Å, 29.15°, rel. 1000, hkl 2 0 0; d = 2.172 Å, 41.57°, rel. 665, hkl 2 2 0; d = 2.166 Å, 41.70°, rel. 375, hkl 2 0 2; d = 1.772 Å, 51.58°, rel. 349, hkl 2 2 2; d = 1.371 Å, 68.45°, rel. 313, hkl 4 0 2

Structure:
a = 6.1266 Å, b = 6.1627 Å, c = 6.1269 Å
α = 90.00°, β = 90.00°, γ = 90.00°
Space group Cmcm (No. 63)
Unique sites:
In (0.0000, 0.2206, 0.2500) [4 per cell]
Sb (0.0000, 0.2772, 0.7500) [4 per cell]

---

No. 2
For InSb, a crystal structure in the Materials Project, relaxed with GGA-PBE gives the theoretical X-ray diffraction stick pattern in this record (copper Kα).
Peak positions follow from Bragg's law for the DFT cell and can differ from measured ones.

Main lines, sorted by position (2θ from 10° to 90°):
d = 2.692 Å, 33.28°, rel. 1000, hkl 1 1 0; d = 1.904 Å, 47.77°, rel. 178, hkl 2 0 0; d = 1.554 Å, 59.46°, rel. 363, hkl 2 1 1; d = 1.346 Å, 69.87°, rel. 111, hkl 2 2 0; d = 1.204 Å, 79.62°, rel. 155, hkl 3 1 0; d = 1.099 Å, 89.07°, rel. 40, hkl 2 2 2

Structure:
a = 3.8077 Å, b = 3.8077 Å, c = 3.8077 Å
α = 90.00°, β = 90.00°, γ = 90.00°
Space group Pm-3m (No. 221)
Unique sites:
In (0.0000, 0.0000, 0.0000) [1 per cell]
Sb (0.5000, 0.5000, 0.5000) [1 per cell]

---

No. 3
For In4SbTe3, a crystal structure in the Materials Project, relaxed with GGA-PBE gives the theoretical X-ray diffraction stick pattern in this record (copper Kα).
Peak positions follow from Bragg's law for the DFT cell and can differ from measured ones.

Main lines, sorted by position (2θ from 10° to 90°):
d = 3.140 Å, 28.43°, rel. 511, hkl 2 0 0; d = 3.113 Å, 28.68°, rel. 1000, hkl 0 4 0; d = 2.211 Å, 40.82°, rel. 764, hkl 2 4 0; d = 2.201 Å, 41.00°, rel. 377, hkl 2 4 -2; d = 1.802 Å, 50.64°, rel. 403, hkl 0 4 2; d = 1.402 Å, 66.73°, rel. 172, hkl 4 4 0

Structure:
a = 8.8381 Å, b = 12.4668 Å, c = 6.2189 Å
α = 90.00°, β = 134.72°, γ = 90.00°
Space group Cm (No. 8)
Unique sites:
In (0.0000, 0.0000, 0.0000) [2 per cell]
In (0.0028, 0.2479, 0.5041) [4 per cell]
In (0.0079, 0.5000, 0.0097) [2 per cell]
Sb (0.0049, 0.0000, 0.5049) [2 per cell]
Te (0.0009, 0.2516, 0.9955) [4 per cell]
Te (0.4991, 0.0000, 0.5000) [2 per cell]

---

No. 4
For In4SbTe3, a crystal structure in the Materials Project, relaxed with GGA-PBE gives the theoretical X-ray diffraction stick pattern in this record (copper Kα).
Peak positions follow from Bragg's law for the DFT cell and can differ from measured ones.

Main lines, sorted by position (2θ from 10° to 90°):
d = 3.140 Å, 28.43°, rel. 511, hkl 0 2 1; d = 3.113 Å, 28.68°, rel. 1000, hkl 2 0 1; d = 2.211 Å, 40.82°, rel. 763, hkl 2 2 2; d = 2.201 Å, 41.00°, rel. 377, hkl 2 0 3; d = 1.802 Å, 50.64°, rel. 403, hkl 2 2 4; d = 1.402 Å, 66.73°, rel. 172, hkl 2 4 3

Structure:
a = 6.2189 Å, b = 6.2798 Å, c = 7.6384 Å
α = 65.75°, β = 66.01°, γ = 90.00°
Space group P1 (No. 1)
Unique sites:
In (0.0000, 0.0000, 0.0000) [1 per cell]
In (0.2404, 0.7574, 0.5031) [1 per cell]
In (0.4975, 0.5071, 0.0015) [1 per cell]
In (0.7520, 0.2576, 0.4949) [1 per cell]
Sb (0.9987, 0.5034, 0.9992) [1 per cell]
Te (0.2449, 0.2577, 0.5005) [1 per cell]
Te (0.4999, 0.0096, 0.9983) [1 per cell]
Te (0.7449, 0.7590, 0.4959) [1 per cell]

---

No. 5
For In3SbTe4, a crystal structure in the Materials Project, relaxed with GGA-PBE gives the theoretical X-ray diffraction stick pattern in this record (copper Kα).
Peak positions follow from Bragg's law for the DFT cell and can differ from measured ones.

Main lines, sorted by position (2θ from 10° to 90°):
d = 3.313 Å, 26.91°, rel. 467, hkl 2 1 1; d = 2.949 Å, 30.31°, rel. 485, hkl 2 2 0; d = 2.728 Å, 32.83°, rel. 1000, hkl 2 0 2; d = 1.948 Å, 46.63°, rel. 225, hkl 4 1 1; d = 1.804 Å, 50.60°, rel. 172, hkl 0 0 4; d = 1.657 Å, 55.47°, rel. 160, hkl 4 2 2

Structure:
a = 8.3402 Å, b = 8.3402 Å, c = 7.2131 Å
α = 90.00°, β = 90.00°, γ = 90.00°
Space group I422 (No. 97)
Unique sites:
In (0.0000, 0.0000, 0.0000) [2 per cell]
In (0.0000, 0.5000, 0.0000) [4 per cell]
Sb (0.0000, 0.0000, 0.5000) [2 per cell]
Te (0.1910, 0.3090, 0.2500) [8 per cell]

---

No. 6
For In10Sb9Te, a crystal structure in the Materials Project, relaxed with GGA-PBE gives the theoretical X-ray diffraction stick pattern in this record (copper Kα).
Peak positions follow from Bragg's law for the DFT cell and can differ from measured ones.

Main lines, sorted by position (2θ from 10° to 90°):
d = 3.084 Å, 28.95°, rel. 1000, hkl 1 2 0; d = 3.066 Å, 29.12°, rel. 493, hkl 2 -2 1; d = 2.213 Å, 40.78°, rel. 196, hkl 0 2 3; d = 2.181 Å, 41.40°, rel. 188, hkl 1 -2 4; d = 2.174 Å, 41.54°, rel. 372, hkl 3 0 1; d = 2.168 Å, 41.65°, rel. 185, hkl -3 2 2

Structure:
a = 7.4740 Å, b = 8.6992 Å, c = 9.7702 Å
α = 101.88°, β = 96.83°, γ = 107.02°
Space group P-1 (No. 2)
Unique sites:
In (0.0004, 0.2502, 0.0000) [2 per cell]
In (0.1960, 0.1471, 0.3991) [2 per cell]
In (0.1995, 0.6518, 0.3995) [2 per cell]
In (0.3971, 0.5504, 0.8028) [2 per cell]
In (0.4002, 0.0494, 0.8003) [2 per cell]
Sb (0.0994, 0.6992, 0.6984) [2 per cell]
Sb (0.1061, 0.2033, 0.7001) [2 per cell]
Sb (0.2994, 0.5996, 0.1039) [2 per cell]
Sb (0.3014, 0.1022, 0.1034) [2 per cell]
Sb (0.5000, 0.0000, 0.5000) [1 per cell]
Te (0.5000, 0.5000, 0.5000) [1 per cell]